The following is a computed XRD peak list of Rb2MnH2OF5. It was derived from a PBE+U-relaxed structure, using Cu Kα X-rays.
Kinematic intensities with the Lorentz-polarization factor, no thermal factor.

Structural model:
```
data_Rb2MnH2OF5
_cell_length_a 9.7465
_cell_length_b 8.1863
_cell_length_c 8.5388
_cell_angle_alpha 90.00
_cell_angle_beta 90.00
_cell_angle_gamma 90.00
_symmetry_space_group_name_H-M 'C m c m'
_symmetry_Int_Tables_number 63
_symmetry_space_group_name_Hall '-C 2c 2'
loop_
_atom_site_label
_atom_site_fract_x
_atom_site_fract_y
_atom_site_fract_z
_atom_site_occupancy
Rb1 0.2070 0.2080 0.2500 1
Mn1 0.0000 0.5000 0.0000 1
H1 0.0000 0.1356 0.6575 1
O1 0.0000 0.0630 0.7500 1
F1 0.0000 0.2658 0.0013 1
F2 0.0000 0.4960 0.2500 1
F3 0.1936 0.5000 0.0000 1
```

Most intense lines, 10 to 90 degrees two-theta, low angle first:
- 14.1°, I = 71
- 25.2°, I = 59
- 27.8°, I = 100
- 28.5°, I = 65
- 30.2°, I = 79
- 30.4°, I = 42
- 31.4°, I = 78
- 35.5°, I = 99
- 36.9°, I = 37
- 42.3°, I = 58
- 43.7°, I = 30
- 49.2°, I = 32